No. 1
This entry pairs a crystal structure of NpFe4Si2 with its simulated X-ray powder pattern. Radiation: a wavelength of 1.5418 Å. Structure: a structure optimized by DFT (GGA-PBE).

Cell and atoms:
```
NpFe4Si2
1.0
-1.7726 1.7726 7.7140
1.7726 -1.7726 7.7140
1.7726 1.7726 -7.7140
Np Fe Si
1 4 2
Cartesian
0.0000 0.0000 0.0000
0.0000 0.0000 2.1070
1.7726 0.0000 3.8570
0.0000 1.7726 3.8570
0.0000 0.0000 13.3209
0.0000 0.0000 5.5566
0.0000 0.0000 9.8713
```

Main lines, by intensity (15° ≤ 2θ ≤ 90°):
2θ = 25.8°, rel. 100
2θ = 37.7°, rel. 53
2θ = 50.9°, rel. 39
2θ = 30.6°, rel. 29
2θ = 51.6°, rel. 28
2θ = 35.8°, rel. 24
2θ = 58.5°, rel. 21
2θ = 48.6°, rel. 21
2θ = 72.4°, rel. 20
2θ = 38.7°, rel. 19

=====

No. 2
This entry pairs a crystal structure of Np4FeSn8 with its simulated X-ray powder pattern. Radiation: a wavelength of 1.5418 Å. Structure: a structure optimized by DFT (GGA-PBE).

Cell and atoms:
```
Np4FeSn8
1.0
7.8507 0.0000 0.0000
0.0000 3.3803 0.0000
-1.7401 0.0000 12.1080
Np Fe Sn
4 1 8
Cartesian
0.0000 0.0000 0.0000
-0.7502 1.6902 9.4358
4.6528 0.0000 4.5780
5.0141 1.6902 10.8443
0.8445 1.6902 8.0359
-0.2392 0.0000 3.4477
-0.6630 0.0000 6.5572
1.9495 1.6902 5.3363
2.5059 0.0000 2.2926
1.3005 1.6902 11.8427
2.5215 0.0000 9.3415
4.4981 1.6902 7.4661
5.4440 1.6902 1.6957
```

Main lines, by intensity (15° ≤ 2θ ≤ 90°):
2θ = 31.7°, rel. 100
2θ = 34.9°, rel. 90
2θ = 37.6°, rel. 86
2θ = 33.3°, rel. 62
2θ = 39.6°, rel. 60
2θ = 30.2°, rel. 50
2θ = 27.4°, rel. 48
2θ = 34.6°, rel. 43
2θ = 35.2°, rel. 42
2θ = 54.3°, rel. 34

=====

No. 3
This entry pairs a crystal structure of TmNpFe4 with its simulated X-ray powder pattern. Radiation: a wavelength of 1.5418 Å. Structure: a structure optimized by DFT (GGA-PBE).

Cell and atoms:
```
TmNpFe4
1.0
4.8896 0.0000 0.0000
-2.4448 4.2345 0.0000
0.0000 0.0000 8.4913
Tm Np Fe
2 2 8
Cartesian
0.0000 2.8230 3.6453
2.4448 1.4115 4.8460
0.0000 2.8230 0.3805
2.4448 1.4115 8.1108
0.0000 0.0000 0.0000
0.0000 0.0000 4.2456
0.0000 1.4105 6.3406
-1.2232 3.5292 6.3406
1.2215 0.7053 2.1507
1.2232 3.5292 6.3406
3.6680 0.7053 2.1507
2.4448 2.8240 2.1507
```

Main lines, by intensity (15° ≤ 2θ ≤ 90°):
2θ = 42.7°, rel. 100
2θ = 38.3°, rel. 89
2θ = 36.8°, rel. 63
2θ = 21.0°, rel. 36
2θ = 67.2°, rel. 36
2θ = 44.1°, rel. 35
2θ = 71.2°, rel. 25
2θ = 70.3°, rel. 21
2θ = 29.8°, rel. 20
2θ = 78.2°, rel. 17

=====

No. 4
This entry pairs a crystal structure of NpZn11Fe with its simulated X-ray powder pattern. Radiation: a wavelength of 1.5418 Å. Structure: a structure optimized by DFT (GGA-PBE).

Cell and atoms:
```
NpZn11Fe
1.0
2.5488 -6.3169 0.0000
2.5488 6.3169 0.0000
-2.5213 0.0000 6.2974
Np Zn Fe
1 11 1
Cartesian
0.0000 0.0000 0.0000
-1.2607 0.0000 3.1487
1.2744 3.1584 0.0000
0.0986 2.1700 2.2548
0.0460 1.3596 4.9160
0.0986 -2.1700 2.2548
2.5303 1.3596 1.3814
1.2744 -3.1584 0.0000
0.0460 -1.3596 4.9160
2.4777 2.1700 4.0426
2.5303 -1.3596 1.3814
2.4777 -2.1700 4.0426
1.2881 0.0000 3.1487
```

Main lines, by intensity (15° ≤ 2θ ≤ 90°):
2θ = 40.5°, rel. 100
2θ = 40.7°, rel. 46
2θ = 34.9°, rel. 41
2θ = 40.8°, rel. 23
2θ = 28.4°, rel. 22
2θ = 31.7°, rel. 14
2θ = 35.2°, rel. 14
2θ = 73.9°, rel. 12
2θ = 73.7°, rel. 11
2θ = 20.1°, rel. 10

=====

No. 5
This entry pairs a crystal structure of ZrNpFe4 with its simulated X-ray powder pattern. Radiation: a wavelength of 1.5418 Å. Structure: a structure optimized by DFT (GGA-PBE).

Cell and atoms:
```
ZrNpFe4
1.0
4.8458 0.0000 0.0000
-2.4229 4.1966 0.0000
0.0000 0.0000 8.3904
Zr Np Fe
2 2 8
Cartesian
0.0000 2.7977 3.5979
2.4229 1.3989 4.7924
0.0000 2.7977 0.3452
2.4229 1.3989 8.0452
0.0000 0.0000 0.0000
0.0000 0.0000 4.1952
0.0000 1.3991 6.2162
-1.2112 3.4970 6.2162
1.2117 0.6996 2.1742
1.2112 3.4970 6.2162
3.6341 0.6996 2.1742
2.4229 2.7974 2.1742
```

Main lines, by intensity (15° ≤ 2θ ≤ 90°):
2θ = 43.1°, rel. 100
2θ = 38.7°, rel. 74
2θ = 37.1°, rel. 45
2θ = 44.5°, rel. 31
2θ = 67.9°, rel. 28
2θ = 71.0°, rel. 23
2θ = 21.2°, rel. 20
2θ = 72.1°, rel. 19
2θ = 30.1°, rel. 17
2θ = 23.7°, rel. 16